Diffraction record for Cs2GaBiCl6. The powder XRD pattern is computed, not measured: it uses DFT lattice parameters and positions (PBE) and Cu Kα (weighted mean of Kα1 and Kα2).

Principal peaks in the range 2θ = 10–90°, low angle first:
2θ/deg	I_rel
13.7	18
22.4	100
31.9	55
39.4	48
45.8	39
51.5	23
56.9	13
61.9	26
75.9	17
89.0	15

Structure:
```
Cs2GaBiCl6
1.0
0.000 5.607 5.607
5.607 0.000 5.607
5.607 5.607 0.000
Cs Ga Bi Cl
2 1 1 6
Direct
0.250 0.250 0.250 Cs
0.750 0.750 0.750 Cs
0.000 0.000 0.000 Ga
0.500 0.500 0.500 Bi
0.256 0.256 0.744 Cl
0.256 0.744 0.256 Cl
0.256 0.744 0.744 Cl
0.744 0.256 0.256 Cl
0.744 0.256 0.744 Cl
0.744 0.744 0.256 Cl
```

---

Diffraction record for Pm8SbPb5. The powder XRD pattern is computed, not measured: it uses DFT lattice parameters and positions (PBE) and Cu Kα (weighted mean of Kα1 and Kα2).

Principal peaks in the range 2θ = 10–90°, low angle first:
2θ/deg	I_rel
29.4	100
34.9	63
42.0	18
44.2	13
46.3	13
48.3	21
59.3	30
61.0	11
62.7	14
72.2	20

Structure:
```
Pm8SbPb5
1.0
-4.806 4.806 4.802
4.806 -4.806 4.802
4.806 4.806 -4.802
Pm Sb Pb
8 1 5
Direct
0.013 0.125 0.747 Pm
0.233 0.484 0.610 Pm
0.376 0.767 0.251 Pm
0.377 0.265 0.253 Pm
0.516 0.126 0.749 Pm
0.735 0.987 0.112 Pm
0.874 0.624 0.390 Pm
0.875 0.623 0.888 Pm
0.750 0.250 0.500 Sb
0.001 0.375 0.125 Pb
0.124 0.999 0.374 Pb
0.250 0.876 0.875 Pb
0.500 0.500 0.000 Pb
0.625 0.750 0.626 Pb
```

---

Diffraction record for Al2ZnAu7. The powder XRD pattern is computed, not measured: it uses DFT lattice parameters and positions (PBE) and Cu Kα (weighted mean of Kα1 and Kα2).

Principal peaks in the range 2θ = 10–90°, low angle first:
2θ/deg	I_rel
26.2	22
29.8	41
31.1	13
34.8	16
40.2	100
42.7	49
50.8	15
62.0	16
71.2	12
76.5	31

Structure:
```
Al2ZnAu7
1.0
-2.117 2.117 10.190
2.117 -2.117 10.190
2.117 2.117 -10.190
Al Zn Au
2 1 7
Direct
0.173 0.173 0.000 Al
0.827 0.827 0.000 Al
0.500 0.500 0.000 Zn
0.000 0.000 0.000 Au
0.097 0.597 0.500 Au
0.250 0.750 0.500 Au
0.403 0.903 0.500 Au
0.597 0.097 0.500 Au
0.750 0.250 0.500 Au
0.903 0.403 0.500 Au
```

---

Diffraction record for BaUTe6. The powder XRD pattern is computed, not measured: it uses DFT lattice parameters and positions (PBE) and Cu Kα (weighted mean of Kα1 and Kα2).

Principal peaks in the range 2θ = 10–90°, low angle first:
2θ/deg	I_rel
11.3	100
11.6	39
25.6	27
28.8	30
29.4	31
29.5	38
30.1	80
34.0	27
34.3	55
35.3	32

Structure:
```
BaUTe6
1.0
9.142 0.000 0.000
0.000 15.253 0.000
-0.341 0.000 8.135
Ba U Te
4 4 24
Direct
0.246 0.089 0.253 Ba
0.246 0.411 0.753 Ba
0.754 0.589 0.247 Ba
0.754 0.911 0.747 Ba
0.268 0.749 0.611 U
0.268 0.751 0.111 U
0.732 0.249 0.889 U
0.732 0.251 0.389 U
0.005 0.740 0.850 Te
0.005 0.760 0.350 Te
0.023 0.601 0.609 Te
0.023 0.899 0.109 Te
0.173 0.551 0.108 Te
0.173 0.949 0.608 Te
0.385 0.606 0.367 Te
0.385 0.894 0.867 Te
0.399 0.196 0.872 Te
0.399 0.304 0.372 Te
0.412 0.616 0.872 Te
0.412 0.884 0.372 Te
0.588 0.116 0.628 Te
0.588 0.384 0.128 Te
0.601 0.696 0.628 Te
0.601 0.804 0.128 Te
0.615 0.106 0.133 Te
0.615 0.394 0.633 Te
0.827 0.051 0.392 Te
0.827 0.449 0.892 Te
0.977 0.101 0.891 Te
0.977 0.399 0.391 Te
0.995 0.240 0.650 Te
0.995 0.260 0.150 Te
```